This entry pairs a crystal structure of PuAlSi2 with its simulated powder X-ray diffraction pattern. Radiation: λ = 1.5418 Å (Cu Kα). Structure: a structure optimized by DFT (PBE).

Most intense lines, 15 to 90 degrees two-theta, in order of rising 2θ:
(2 0 2), 21.4 deg, I 76; (0 1 1), 23.2 deg, I 50; (1 1 1), 24.2 deg, I 48; (4 0 1), 28.5 deg, I 35; (2 1 2), 30.7 deg, I 49; (4 1 0), 35.1 deg, I 92; (2 1 3), 36.0 deg, I 100; (6 0 3), 48.9 deg, I 33

Cell and atoms:
Cell lengths 13.0870, 4.0970, 10.7394 Å; angles 90.00, 90.00, 90.00 degrees
Space group Pnma (No. 62)
Symmetry-distinct sites (fractional):
Pu  0.0482  0.2500  0.2426
Pu  0.2006  0.7500  0.9475
Al  0.0620  0.2500  0.5471
Al  0.1978  0.7500  0.6515
Si  0.0317  0.2500  0.9647
Si  0.1119  0.2500  0.7732
Si  0.1322  0.7500  0.4281
Si  0.2061  0.7500  0.2261